Record 1
The following is a theoretical powder X-ray diffraction pattern of GaCuS6. It was derived from the PBE geometry in Alexandria, using Cu Ka.

Cell and atoms:
```
GaCuS6
1.0
3.621 0.000 0.000
0.163 7.139 0.000
0.035 3.280 6.827
Ga Cu S
1 1 6
Direct
0.000 0.000 0.000
0.500 0.500 0.000
0.005 0.282 0.096
0.387 0.443 0.644
0.494 0.866 0.260
0.506 0.134 0.740
0.613 0.557 0.356
0.995 0.718 0.904
```

Largest 12 diffraction maxima, low angle first, 5° ≤ 2θ ≤ 70°:
Position (°2θ)  Rel. int.
12.97  100.0
14.25  15.0
23.63  17.2
27.98  20.9
28.57  14.5
28.73  20.8
33.43  26.5
34.03  11.3
34.24  12.5
43.26  12.8
50.41  14.8
51.20  16.6


Record 2
The following is a theoretical powder X-ray diffraction pattern of CsKSbSe2. It was derived from the PBE geometry in Alexandria, using Cu Ka.

Cell and atoms:
```
CsKSbSe2
1.0
6.007 0.000 0.000
0.000 8.414 0.000
0.000 0.000 7.464
Cs K Sb Se
2 2 2 4
Direct
0.250 0.000 0.203
0.750 0.000 0.797
0.250 0.500 0.419
0.750 0.500 0.581
0.000 0.500 0.000
0.500 0.500 0.000
0.250 0.273 0.779
0.250 0.727 0.779
0.750 0.273 0.221
0.750 0.727 0.221
```

Largest 12 diffraction maxima, low angle first, 5° ≤ 2θ ≤ 70°:
Position (°2θ)  Rel. int.
11.86  50.6
21.73  35.8
26.12  37.9
28.53  100.0
31.63  15.3
32.07  16.7
33.89  26.2
38.47  32.4
40.22  21.7
43.01  19.1
52.04  18.0
59.05  16.0


Record 3
The following is a theoretical powder X-ray diffraction pattern of Pm4Tm9Tl11. It was derived from the PBE geometry in Alexandria, using Cu Ka.

Cell and atoms:
```
Pm4Tm9Tl11
1.0
8.099 -11.514 0.000
8.099 11.514 0.000
0.000 0.000 3.553
Pm Tm Tl
4 9 11
Direct
0.088 0.250 0.000
0.250 0.088 0.000
0.750 0.912 0.000
0.912 0.750 0.000
0.000 0.000 0.000
0.113 0.661 0.000
0.297 0.488 0.000
0.339 0.887 0.000
0.488 0.297 0.000
0.512 0.703 0.000
0.661 0.113 0.000
0.703 0.512 0.000
0.887 0.339 0.000
0.091 0.455 0.500
0.125 0.875 0.500
0.296 0.296 0.500
0.312 0.688 0.500
0.455 0.091 0.500
0.500 0.500 0.500
0.545 0.909 0.500
0.688 0.312 0.500
0.704 0.704 0.500
0.875 0.125 0.500
0.909 0.545 0.500
```

Largest 12 diffraction maxima, low angle first, 5° ≤ 2θ ≤ 70°:
Position (°2θ)  Rel. int.
32.13  73.1
32.30  79.5
33.56  100.0
33.83  80.2
34.41  93.5
37.78  36.3
39.12  22.6
51.44  27.8
58.57  52.2
61.13  43.4
61.96  22.7
63.00  27.3


Record 4
The following is a theoretical powder X-ray diffraction pattern of Nd8SmHo4. It was derived from the PBE geometry in Alexandria, using Cu Ka.

Cell and atoms:
```
Nd8SmHo4
1.0
3.672 2.120 9.530
-3.672 2.120 9.530
0.000 -4.240 9.530
Nd Sm Ho
8 1 4
Direct
0.203 0.752 0.752
0.215 0.215 0.215
0.248 0.248 0.797
0.248 0.797 0.248
0.752 0.203 0.752
0.752 0.752 0.203
0.785 0.785 0.785
0.797 0.248 0.248
0.500 0.500 0.500
0.000 0.000 0.000
0.000 0.500 0.500
0.500 0.000 0.500
0.500 0.500 0.000
```

Largest 12 diffraction maxima, low angle first, 5° ≤ 2θ ≤ 70°:
Position (°2θ)  Rel. int.
25.97  12.2
28.09  25.5
28.24  15.8
30.77  100.0
32.21  34.7
34.39  8.1
37.88  33.5
49.66  27.7
50.45  14.1
58.04  21.8
59.57  13.0
64.07  11.8